[1]
Structure and theoretical powder X-ray diffraction pattern of Na11Sr3 (DFT lattice parameters and positions (PBE); copper Kα).
Peak positions follow from Bragg's law for the DFT cell and can differ from measured ones.

Principal peaks in the range 10 to 90 degrees two-theta, by intensity:
(hkl)	2theta	intensity
0 2 4	26.92	100
1 1 4	28.33	53
1 3 0	26.17	42
2 0 0	30.39	37
1 1 0	16.65	37
1 4 7	52.70	34
2 2 4	41.03	29
0 4 0	28.57	27
0 2 0	14.14	23
1 4 1	32.91	19
0 3 3	27.37	19
3 2 3	51.93	18

Cell and atoms:
abc: 5.8816 12.5262 15.6333
angles: 90.00 90.00 90.00
Space group Immm (No. 71)
Asymmetric unit:
Na1 0.0000 0.0000 0.0000 x2
Na2 0.0000 0.1348 0.3593 x8
Na3 0.0000 0.2174 0.1439 x8
Na4 0.0000 0.3438 0.5000 x4
Sr1 0.0000 0.5000 0.0000 x2
Sr2 0.0000 0.5000 0.2825 x4



[2]
Structure and theoretical powder X-ray diffraction pattern of Na6Sr (DFT lattice parameters and positions (PBE); copper Kα).
Peak positions follow from Bragg's law for the DFT cell and can differ from measured ones.

Principal peaks in the range 10 to 90 degrees two-theta, by intensity:
(hkl)	2theta	intensity
3 1 1	27.66	100
2 1 3	27.86	89
1 0 4	26.65	61
1 1 1	16.13	48
2 2 0	29.90	38
0 2 0	25.28	34
0 1 3	22.84	31
5 0 4	47.97	28
0 2 2	28.35	27
1 2 4	37.06	26
1 2 2	29.47	24
5 2 2	49.77	23

Cell and atoms:
abc: 11.2655 7.0466 14.0102
angles: 90.00 90.00 90.00
Space group Pnma (No. 62)
Asymmetric unit:
Na1 0.0573 0.2500 0.0822 x4
Na2 0.0656 0.5102 0.3081 x8
Na3 0.0986 0.7500 0.5208 x4
Na4 0.1406 0.2500 0.8523 x4
Na5 0.1897 0.7500 0.7598 x4
Sr1 0.2486 0.7500 0.0665 x4



[3]
Structure and theoretical powder X-ray diffraction pattern of Na3Sr2 (DFT lattice parameters and positions (PBE); copper Kα).
Peak positions follow from Bragg's law for the DFT cell and can differ from measured ones.

Principal peaks in the range 10 to 90 degrees two-theta, by intensity:
(hkl)	2theta	intensity
1 1 2	22.99	100
1 3 1	26.22	99
0 2 3	30.85	51
2 2 1	29.80	48
1 1 1	16.75	36
2 4 3	47.31	26
1 5 2	42.35	25
2 0 0	24.44	24
3 3 1	44.12	24
2 0 2	30.58	21
3 1 2	42.15	20
0 4 1	29.94	17

Cell and atoms:
abc: 7.2843 12.5342 9.8041
angles: 90.00 90.00 90.00
Space group Cmce (No. 64)
Asymmetric unit:
Na1 0.0000 0.0000 0.0000 x4
Na2 0.2500 0.0953 0.2500 x8
Sr1 0.0000 0.1625 0.5990 x8



[4]
Structure and theoretical powder X-ray diffraction pattern of Na2Sr5 (DFT lattice parameters and positions (PBE); copper Kα).
Peak positions follow from Bragg's law for the DFT cell and can differ from measured ones.

Principal peaks in the range 10 to 90 degrees two-theta, by intensity:
(hkl)	2theta	intensity
1 0 7	26.58	100
1 1 0	29.32	48
1 0 5	23.83	37
2 1 7	50.34	34
1 1 12	41.44	22
2 0 0	41.94	19
1 0 19	51.00	17
0 0 12	28.64	15
2 1 19	68.09	14
2 0 12	51.57	12
1 1 14	45.14	11
2 1 5	48.81	11

Cell and atoms:
abc: 4.3082 4.3082 37.4076
angles: 90.00 90.00 90.00
Space group I4/mmm (No. 139)
Asymmetric unit:
Na1 0.0000 0.0000 0.2254 x4
Sr1 0.0000 0.0000 0.0786 x4
Sr2 0.0000 0.0000 0.3423 x4
Sr3 0.0000 0.0000 0.5000 x2



[5]
Structure and theoretical powder X-ray diffraction pattern of Na3Sr2 (DFT lattice parameters and positions (PBE); copper Kα).
Peak positions follow from Bragg's law for the DFT cell and can differ from measured ones.

Principal peaks in the range 10 to 90 degrees two-theta, by intensity:
(hkl)	2theta	intensity
4 2 0	29.53	100
1 5 1	27.67	96
3 1 1	24.56	71
0 2 2	26.00	59
2 4 0	23.58	56
3 3 1	28.08	53
1 3 1	19.91	48
2 0 2	27.93	35
4 4 2	42.09	33
1 7 1	36.50	26
1 1 1	14.66	25
4 6 0	40.44	24

Cell and atoms:
abc: 12.8106 18.6760 7.3696
angles: 90.00 90.00 90.00
Space group Fdd2 (No. 43)
Asymmetric unit:
Na1 0.0000 0.0000 0.0000 x8
Na2 0.0705 0.1176 0.3386 x16
Sr1 0.0747 0.1983 0.8311 x16



[6]
Structure and theoretical powder X-ray diffraction pattern of Na7Sr6 (DFT lattice parameters and positions (PBE); copper Kα).
Peak positions follow from Bragg's law for the DFT cell and can differ from measured ones.

Principal peaks in the range 10 to 90 degrees two-theta, by intensity:
(hkl)	2theta	intensity
0 1 11	28.44	100
1 1 0	25.03	82
1 0 10	26.53	60
1 2 11	46.25	36
2 1 10	45.02	28
2 2 0	51.37	21
3 0 0	44.09	18
0 2 1	29.07	17
1 0 1	14.54	16
1 3 10	58.75	15
2 3 11	71.59	13
0 0 6	13.25	13

Cell and atoms:
abc: 7.1153 7.1153 40.0842
angles: 90.00 90.00 120.00
Space group R-3m (No. 166, hexagonal axes)
Asymmetric unit:
Na1 0.0000 0.0000 0.0000 x3
Na2 0.0027 0.5014 0.4070 x18
Sr1 0.0000 0.0000 0.1665 x6
Sr2 0.0000 0.0000 0.3485 x6
Sr3 0.0000 0.0000 0.4519 x6



[7]
Structure and theoretical powder X-ray diffraction pattern of Na2SrTe (DFT lattice parameters and positions (PBE); copper Kα).
Peak positions follow from Bragg's law for the DFT cell and can differ from measured ones.

Principal peaks in the range 10 to 90 degrees two-theta, by intensity:
(hkl)	2theta	intensity
1 1 2	27.67	100
0 0 4	12.84	84
1 1 6	33.32	61
2 0 4	40.65	50
0 0 8	25.85	43
1 1 10	42.65	31
2 0 12	56.04	19
3 1 2	63.06	19
3 1 6	66.23	16
1 1 14	54.17	15
2 2 8	62.13	14
2 0 8	46.87	13

Cell and atoms:
abc: 4.6890 4.6890 27.5719
angles: 90.00 90.00 90.00
Space group I-42d (No. 122)
Asymmetric unit:
Na1 0.2346 0.2500 0.1250 x8
Sr1 0.0000 0.0000 0.5000 x4
Te1 0.0000 0.0000 0.0000 x4



[8]
Structure and theoretical powder X-ray diffraction pattern of NaSrTm2Te4 (DFT lattice parameters and positions (PBE); copper Kα).
Peak positions follow from Bragg's law for the DFT cell and can differ from measured ones.

Principal peaks in the range 10 to 90 degrees two-theta, by intensity:
(hkl)	2theta	intensity
2 0 0	28.29	100
2 0 4	40.69	74
0 0 4	28.63	48
2 2 4	50.30	40
2 2 0	40.44	38
4 2 4	73.72	26
4 2 0	66.26	18
4 0 4	66.43	17
2 0 8	66.96	17
0 0 2	14.20	14
1 1 0	19.90	13
4 0 0	58.53	13

Cell and atoms:
abc: 6.3082 6.3082 12.4713
angles: 90.00 90.00 90.00
Space group I4/mmm (No. 139)
Asymmetric unit:
Na1 0.0000 0.0000 0.0000 x2
Sr1 0.0000 0.0000 0.5000 x2
Tm1 0.0000 0.5000 0.2500 x4
Te1 0.0000 0.0000 0.2435 x4
Te2 0.0000 0.5000 0.0000 x4



[9]
Structure and theoretical powder X-ray diffraction pattern of NaSrTi2 (DFT lattice parameters and positions (PBE); copper Kα).
Peak positions follow from Bragg's law for the DFT cell and can differ from measured ones.

Principal peaks in the range 10 to 90 degrees two-theta, by intensity:
(hkl)	2theta	intensity
1 0 3	22.39	100
1 1 2	28.31	81
1 0 5	27.25	61
0 0 8	30.96	55
1 1 6	35.98	43
2 2 4	58.56	32
2 1 1	43.86	32
2 0 4	42.01	27
2 0 2	39.67	22
2 1 7	52.10	19
1 1 10	48.19	18
2 0 0	38.86	17

Cell and atoms:
abc: 4.6346 4.6346 23.1067
angles: 90.00 90.00 90.00
Space group I4_1/amd (No. 141, origin choice 2)
Asymmetric unit:
Na1 0.0000 0.2500 0.3750 x4
Sr1 0.0000 0.2500 0.8750 x4
Ti1 0.0000 0.0000 0.5000 x8



[10]
Structure and theoretical powder X-ray diffraction pattern of Na3SrTl6 (DFT lattice parameters and positions (PBE); copper Kα).
Peak positions follow from Bragg's law for the DFT cell and can differ from measured ones.

Principal peaks in the range 10 to 90 degrees two-theta, by intensity:
(hkl)	2theta	intensity
1 3 1	30.64	100
1 0 1	16.06	72
0 2 1	20.64	70
3 2 1	35.89	63
4 1 0	34.51	54
2 0 2	32.45	40
3 0 0	22.40	36
3 1 2	39.79	35
1 4 3	56.76	30
2 3 2	44.10	27
1 1 0	12.88	26
0 1 2	29.66	26

Cell and atoms:
abc: 13.7507 13.7507 6.2272
angles: 90.00 90.00 120.00
Space group R3m (No. 160, hexagonal axes)
Asymmetric unit:
Na1 0.0049 0.5024 0.0000 x9
Sr1 0.0000 0.0000 0.3946 x3
Tl1 0.0821 0.1642 0.8450 x9
Tl2 0.2082 0.4164 0.8337 x9



[11]
Structure and theoretical powder X-ray diffraction pattern of Na2Sr3Tl2 (DFT lattice parameters and positions (PBE); copper Kα).
Peak positions follow from Bragg's law for the DFT cell and can differ from measured ones.

Principal peaks in the range 10 to 90 degrees two-theta, by intensity:
(hkl)	2theta	intensity
1 0 3	28.52	100
2 1 1	31.61	88
2 1 0	32.69	48
1 1 -3	35.44	35
0 2 -2	43.05	25
2 -1 3	54.38	23
1 1 7	56.97	22
1 0 2	22.71	22
3 3 2	56.29	17
1 0 0	18.30	16
1 1 6	48.47	15
1 0 -1	21.16	15

Cell and atoms:
abc: 5.6615 5.6619 11.3172
angles: 75.64 75.68 60.01
Space group P-1 (No. 2)
Asymmetric unit:
Na1 0.1347 0.1358 0.0927 x2
Sr1 0.0000 0.0000 0.5000 x1
Sr2 0.2611 0.2605 0.7192 x2
Tl1 0.3692 0.3695 0.3921 x2



[12]
Structure and theoretical powder X-ray diffraction pattern of NaSr6Tl5 (DFT lattice parameters and positions (PBE); copper Kα).
Peak positions follow from Bragg's law for the DFT cell and can differ from measured ones.

Principal peaks in the range 10 to 90 degrees two-theta, by intensity:
(hkl)	2theta	intensity
1 3 2	30.49	100
2 0 0	30.76	49
3 3 2	54.52	39
2 0 4	54.03	20
2 6 0	44.05	18
3 9 2	72.63	12
2 6 4	63.47	12
1 3 0	21.62	11
0 0 4	43.27	11
3 3 6	87.91	10
1 3 6	71.47	8
0 0 2	21.25	6

Cell and atoms:
abc: 5.8091 17.4572 8.3624
angles: 90.00 90.00 90.00
Space group Cmmm (No. 65)
Asymmetric unit:
Na1 0.0000 0.0000 0.0000 x2
Sr1 0.0000 0.1711 0.2560 x8
Sr2 0.0000 0.5000 0.2637 x4
Tl1 0.0000 0.0000 0.5000 x2
Tl2 0.0000 0.3349 0.5000 x4
Tl3 0.0000 0.3359 0.0000 x4



[13]
Structure and theoretical powder X-ray diffraction pattern of NaSr4Tl15 (DFT lattice parameters and positions (PBE); copper Kα).
Peak positions follow from Bragg's law for the DFT cell and can differ from measured ones.

Principal peaks in the range 10 to 90 degrees two-theta, by intensity:
(hkl)	2theta	intensity
1 1 5	31.19	100
2 2 0	52.08	36
2 0 0	36.21	34
3 1 5	62.02	29
0 0 10	36.08	17
1 1 15	61.84	14
2 2 10	65.04	12
3 1 15	85.09	11
1 0 0	17.86	9
1 1 0	25.36	8
3 3 5	85.24	6
4 2 0	88.03	6

Cell and atoms:
abc: 4.9617 4.9617 24.8944
angles: 90.00 90.00 90.00
Space group P4/mmm (No. 123)
Asymmetric unit:
Na1 0.0000 0.0000 0.0000 x1
Sr1 0.0000 0.0000 0.1961 x2
Sr2 0.0000 0.0000 0.3990 x2
Tl1 0.0000 0.5000 0.0948 x4
Tl2 0.0000 0.5000 0.2978 x4
Tl3 0.0000 0.5000 0.5000 x2
Tl4 0.5000 0.5000 0.0000 x1
Tl5 0.5000 0.5000 0.1983 x2
Tl6 0.5000 0.5000 0.3982 x2